Ag2MoI4O14: calculated powder XRD pattern (CuKα), based on a GGA+U-relaxed structure.
Intensities are scaled so that the largest is 100.

Most intense lines, 2θ = 5–70°, by angle:
2θ/deg  d (Å)  I/Imax
27.03  3.298  100
30.43  2.938  11
31.69  2.824  14
31.82  2.813  11
44.55  2.034  18
53.74  1.706  10

Structure:
Cell lengths 6.9579, 6.9579, 17.8243 Å; angles 97.70, 97.70, 49.95 degrees
Fractional coordinates of all 42 atoms:
Ag (0.1617, 0.1722, 0.4590)
Ag (0.1722, 0.1617, 0.9590)
Ag (0.8278, 0.8383, 0.0410)
Ag (0.8383, 0.8278, 0.5410)
Mo (0.0825, 0.9175, 0.2500)
Mo (0.9175, 0.0825, 0.7500)
I (0.2854, 0.2948, 0.6729)
I (0.2948, 0.2854, 0.1729)
I (0.3642, 0.5452, 0.4124)
I (0.4548, 0.6358, 0.0876)
I (0.5452, 0.3642, 0.9124)
I (0.6358, 0.4548, 0.5876)
I (0.7052, 0.7146, 0.8271)
I (0.7146, 0.7052, 0.3271)
O (0.0074, 0.5134, 0.8803)
O (0.0097, 0.2116, 0.2554)
O (0.0890, 0.5790, 0.4326)
O (0.1421, 0.8343, 0.1403)
O (0.1657, 0.8579, 0.3597)
O (0.2116, 0.0097, 0.7554)
O (0.2565, 0.6492, 0.0026)
O (0.2579, 0.5112, 0.2520)
O (0.2747, 0.4971, 0.6123)
O (0.3508, 0.7435, 0.4974)
O (0.4210, 0.9110, 0.0674)
O (0.4866, 0.9926, 0.6197)
O (0.4888, 0.7421, 0.2480)
O (0.4971, 0.2747, 0.1123)
O (0.5029, 0.7253, 0.8877)
O (0.5112, 0.2579, 0.7520)
O (0.5134, 0.0074, 0.3803)
O (0.5790, 0.0890, 0.9326)
O (0.6492, 0.2565, 0.5026)
O (0.7253, 0.5029, 0.3877)
O (0.7421, 0.4888, 0.7480)
O (0.7435, 0.3508, 0.9974)
O (0.7884, 0.9903, 0.2446)
O (0.8343, 0.1421, 0.6403)
O (0.8579, 0.1657, 0.8597)
O (0.9110, 0.4210, 0.5674)
O (0.9903, 0.7884, 0.7446)
O (0.9926, 0.4866, 0.1197)